# 1
For KHfCuTe4, a DFT-relaxed cell (GGA-PBE, Alexandria) gives the simulated powder X-ray diffraction pattern in this record (Cu Kα, 1.54184 Å).

Crystal structure
```
KHfCuTe4
1.0
7.140 0.000 0.000
0.000 6.227 0.000
-3.248 0.000 9.542
K Hf Cu Te
2 2 2 8
direct
0.175 0.250 0.462 K
0.825 0.750 0.538 K
0.289 0.750 0.064 Hf
0.711 0.250 0.936 Hf
0.047 0.250 0.824 Cu
0.953 0.750 0.176 Cu
0.141 0.250 0.091 Te
0.290 0.750 0.354 Te
0.338 0.508 0.813 Te
0.338 0.992 0.813 Te
0.662 0.008 0.187 Te
0.662 0.492 0.187 Te
0.710 0.250 0.646 Te
0.859 0.750 0.909 Te
```

Top 6 peaks for 10° ≤ 2θ ≤ 90°, low angle first:
2θ/deg	I (rel.)
26.4	41
26.9	45
30.1	53
30.5	60
31.8	100
45.7	37

=====

# 2
For LaHfCu, a DFT-relaxed cell (GGA-PBE, Alexandria) gives the simulated powder X-ray diffraction pattern in this record (Cu Kα, 1.54184 Å).

Crystal structure
```
LaHfCu
1.0
5.029 0.000 0.000
0.000 3.370 0.000
-2.503 0.000 8.121
La Hf Cu
2 2 2
direct
0.181 0.000 0.360 La
0.819 0.000 0.640 La
0.000 0.500 0.000 Hf
0.500 0.000 0.000 Hf
0.367 0.500 0.736 Cu
0.633 0.500 0.264 Cu
```

Top 6 peaks for 10° ≤ 2θ ≤ 90°, low angle first:
2θ/deg	I (rel.)
10.9	21
33.1	24
35.7	29
36.1	100
49.5	15
64.4	18

=====

# 3
For La2HfCuS5, a DFT-relaxed cell (GGA-PBE, Alexandria) gives the simulated powder X-ray diffraction pattern in this record (Cu Kα, 1.54184 Å).

Crystal structure
```
La2HfCuS5
1.0
1.933 -8.350 0.000
1.933 8.350 0.000
0.000 0.000 11.727
La Hf Cu S
4 2 2 10
direct
0.117 0.883 0.500 La
0.124 0.876 0.125 La
0.876 0.124 0.625 La
0.883 0.117 0.000 La
0.189 0.811 0.821 Hf
0.811 0.189 0.321 Hf
0.438 0.562 0.243 Cu
0.562 0.438 0.743 Cu
0.043 0.957 0.846 S
0.296 0.704 0.470 S
0.306 0.694 0.169 S
0.347 0.653 0.815 S
0.497 0.503 0.572 S
0.503 0.497 0.072 S
0.653 0.347 0.315 S
0.694 0.306 0.669 S
0.704 0.296 0.970 S
0.957 0.043 0.346 S
```

Top 6 peaks for 10° ≤ 2θ ≤ 90°, low angle first:
2θ/deg	I (rel.)
25.2	44
28.1	31
33.0	100
38.8	39
46.2	15
47.0	17